Entry 1:
Computed X-ray powder pattern
Compound: Cu2SO4
Radiation: Cu Ka
Structure: a structure optimized by DFT (GGA-PBE)
Intensities are scaled so that the largest is 100.

Top 12 peaks for 10° ≤ 2θ ≤ 90°, most intense first:
Position (°2θ)  I (rel.)  hkl
27.4  100  1 1 3
36.3  39  1 1 5
33.0  19  0 4 0
42.9  18  2 2 0
23.3  16  0 0 4
49.8  15  1 5 3
20.1  13  0 2 2
46.8  13  1 1 7
41.2  12  2 0 2
65.8  9  2 6 0
53.8  8  2 0 6
63.8  7  1 5 7

Unit cell a=4.5775 b=10.8576 c=15.2924 alpha=90.00 beta=90.00 gamma=90.00
Space group Fddd (No. 70, origin choice 2)
Symmetry-distinct sites (fractional):
Cu  0.1250  0.1250  0.3246 x16
S  0.1250  0.1250  0.6250 x8
O  0.0607  0.2966  0.9331 x32

Entry 2:
Computed X-ray powder pattern
Compound: Cu2SO6
Radiation: Cu Ka
Structure: a structure optimized by DFT (GGA-PBE)
Intensities are scaled so that the largest is 100.

Top 12 peaks for 10° ≤ 2θ ≤ 90°, most intense first:
Position (°2θ)  I (rel.)  hkl
13.4  100  1 1 0
28.2  68  0 2 1
29.3  47  0 4 0
44.6  45  2 0 -2
34.9  33  3 1 0
33.4  32  3 1 -1
38.6  24  1 5 0
23.1  23  1 1 -1
46.0  21  4 0 0
39.0  21  2 4 -1
46.1  20  1 1 -2
64.9  18  2 6 -2

Unit cell a=8.6818 b=12.1911 c=4.0679 alpha=90.00 beta=114.60 gamma=90.00
Space group C2/c (No. 15)
Symmetry-distinct sites (fractional):
Cu  0.1351  0.0931  0.1108 x8
S  0.0000  0.3254  0.7500 x4
O  0.1030  0.2571  0.0688 x8
O  0.1139  0.0724  0.5956 x8
O  0.1157  0.3991  0.6634 x8

Entry 3:
Computed X-ray powder pattern
Compound: Cu2SO5
Radiation: Cu Ka
Structure: a structure optimized by DFT (GGA-PBE)
Intensities are scaled so that the largest is 100.

Top 12 peaks for 10° ≤ 2θ ≤ 90°, most intense first:
Position (°2θ)  I (rel.)  hkl
33.7  100  2 2 -1
23.9  76  2 0 -2
13.5  75  0 0 1
32.3  39  2 0 1
39.3  29  0 2 2
18.2  28  1 1 -1
34.2  28  2 0 -3
50.5  23  4 2 -3
38.8  19  3 1 -3
31.0  18  0 2 1
44.6  17  2 0 2
66.8  17  6 2 -2

Unit cell a=9.4944 b=6.4211 c=7.8550 alpha=90.00 beta=123.57 gamma=90.00
Space group C2/m (No. 12)
Symmetry-distinct sites (fractional):
Cu  0.0806  0.0000  0.2187 x4
Cu  0.2500  0.2500  0.0000 x4
S  0.0952  0.5000  0.3142 x4
O  0.0177  0.3084  0.7544 x8
O  0.1493  0.0000  0.0171 x4
O  0.1939  0.5000  0.5402 x4
O  0.1992  0.5000  0.2303 x4